1.
The following is a theoretical powder X-ray diffraction pattern of Nd2Ho2CI3Br2. It was derived from a cell relaxed with PBE, using Cu Kα (λ = 1.5418 Å).
Peak positions follow from Bragg's law for the DFT cell and can differ from measured ones.

The 10 most intense peaks (10° ≤ 2θ ≤ 90°), low angle first:
| Position (°2θ) | intensity | index |
| --- | --- | --- |
| 10.23 | 36 | 0 0 1 |
| 20.21 | 21 | 4 0 -1 |
| 29.81 | 37 | 6 0 0 |
| 29.92 | 27 | 3 1 1 |
| 30.13 | 100 | 1 1 -2 |
| 33.51 | 30 | 5 1 0 |
| 40.78 | 15 | 2 0 -4 |
| 42.50 | 22 | 5 1 2 |
| 43.29 | 24 | 7 1 -2 |
| 45.39 | 18 | 0 2 0 |

Atomic structure:
```
data_Nd2Ho2CI3Br2
_chemical_formula_sum 'Nd4 Ho4 C2 I6 Br4'
_space_group_name_H-M_alt 'C 1 2/m 1'
_space_group_IT_number 12
_cell_length_a 18.4131
_cell_length_b 3.9960
_cell_length_c 8.8548
_cell_angle_alpha 90.00
_cell_angle_beta 102.40
_cell_angle_gamma 90.00
loop_
_space_group_symop_operation_xyz
'x,y,z'
'-x,-y,-z'
'-x,y,-z'
'x,-y,z'
'x+1/2,y+1/2,z'
'-x+1/2,-y+1/2,-z'
'-x+1/2,y+1/2,-z'
'x+1/2,-y+1/2,z'
loop_
_atom_site_label
_atom_site_fract_x
_atom_site_fract_y
_atom_site_fract_z
Nd1 0.0026 0.0000 0.3056
Ho1 0.1333 0.5000 0.5631
C1 0.0000 0.5000 0.5000
I1 0.0000 0.5000 0.0000
I2 0.1724 0.0000 0.8280
Br1 0.1723 0.0000 0.3566
```



2.
The following is a theoretical powder X-ray diffraction pattern of Nd2Ho2CI3Br2. It was derived from a cell relaxed with PBE, using Cu Kα (λ = 1.5418 Å).
Peak positions follow from Bragg's law for the DFT cell and can differ from measured ones.

The 10 most intense peaks (10° ≤ 2θ ≤ 90°), low angle first:
| Position (°2θ) | intensity | index |
| --- | --- | --- |
| 10.64 | 36 | 0 0 1 |
| 27.79 | 22 | 3 1 -1 |
| 29.43 | 51 | 6 0 0 |
| 30.35 | 22 | 3 1 1 |
| 30.89 | 100 | 1 1 -2 |
| 33.47 | 36 | 5 1 -1 |
| 33.74 | 21 | 4 0 -3 |
| 35.97 | 18 | 2 0 3 |
| 43.19 | 56 | 5 1 2 |
| 46.13 | 20 | 0 2 0 |

Atomic structure:
```
data_Nd2Ho2CI3Br2
_chemical_formula_sum 'Nd4 Ho4 C2 I6 Br4'
_space_group_name_H-M_alt 'C 1 2/m 1'
_space_group_IT_number 12
_cell_length_a 18.7119
_cell_length_b 3.9357
_cell_length_c 8.5477
_cell_angle_alpha 90.00
_cell_angle_beta 103.34
_cell_angle_gamma 90.00
loop_
_space_group_symop_operation_xyz
'x,y,z'
'-x,-y,-z'
'-x,y,-z'
'x,-y,z'
'x+1/2,y+1/2,z'
'-x+1/2,-y+1/2,-z'
'-x+1/2,y+1/2,-z'
'x+1/2,-y+1/2,z'
loop_
_atom_site_label
_atom_site_fract_x
_atom_site_fract_y
_atom_site_fract_z
Nd1 0.1385 0.0000 0.0742
Ho1 0.0002 0.5000 0.1895
C1 0.0000 0.0000 0.0000
I1 0.0000 0.0000 0.5000
I2 0.1677 0.5000 0.8049
Br1 0.1551 0.5000 0.3401
```



3.
The following is a theoretical powder X-ray diffraction pattern of Pr2Ho2CI3Br2. It was derived from a cell relaxed with PBE, using Cu Kα (λ = 1.5418 Å).
Peak positions follow from Bragg's law for the DFT cell and can differ from measured ones.

The 10 most intense peaks (10° ≤ 2θ ≤ 90°), low angle first:
| Position (°2θ) | intensity | index |
| --- | --- | --- |
| 10.58 | 35 | 0 0 1 |
| 27.73 | 23 | 3 1 -1 |
| 29.28 | 52 | 6 0 0 |
| 30.20 | 23 | 3 1 1 |
| 30.79 | 100 | 1 1 -2 |
| 33.37 | 39 | 5 1 -1 |
| 35.71 | 19 | 2 0 3 |
| 42.93 | 30 | 5 1 2 |
| 43.07 | 27 | 7 1 -2 |
| 46.01 | 20 | 0 2 0 |

Atomic structure:
```
data_Pr2Ho2CI3Br2
_chemical_formula_sum 'Pr4 Ho4 C2 I6 Br4'
_space_group_name_H-M_alt 'C 1 2/m 1'
_space_group_IT_number 12
_cell_length_a 18.7803
_cell_length_b 3.9452
_cell_length_c 8.5817
_cell_angle_alpha 90.00
_cell_angle_beta 102.94
_cell_angle_gamma 90.00
loop_
_space_group_symop_operation_xyz
'x,y,z'
'-x,-y,-z'
'-x,y,-z'
'x,-y,z'
'x+1/2,y+1/2,z'
'-x+1/2,-y+1/2,-z'
'-x+1/2,y+1/2,-z'
'x+1/2,-y+1/2,z'
loop_
_atom_site_label
_atom_site_fract_x
_atom_site_fract_y
_atom_site_fract_z
Pr1 0.1392 0.0000 0.0737
Ho1 0.9996 0.5000 0.1888
C1 0.0000 0.0000 0.0000
I1 0.0000 0.0000 0.5000
I2 0.1675 0.5000 0.8016
Br1 0.1531 0.5000 0.3401
```



4.
The following is a theoretical powder X-ray diffraction pattern of Pr2Ho2CI3Br2. It was derived from a cell relaxed with PBE, using Cu Kα (λ = 1.5418 Å).
Peak positions follow from Bragg's law for the DFT cell and can differ from measured ones.

The 10 most intense peaks (10° ≤ 2θ ≤ 90°), low angle first:
| Position (°2θ) | intensity | index |
| --- | --- | --- |
| 27.75 | 28 | 3 1 -1 |
| 29.85 | 52 | 6 0 0 |
| 30.26 | 36 | 3 1 1 |
| 30.66 | 100 | 1 1 -2 |
| 33.63 | 22 | 5 1 0 |
| 33.76 | 20 | 4 0 -3 |
| 35.74 | 23 | 2 0 3 |
| 43.18 | 29 | 5 1 2 |
| 43.45 | 31 | 7 1 -2 |
| 45.75 | 20 | 0 2 0 |

Atomic structure:
```
data_Pr2Ho2CI3Br2
_chemical_formula_sum 'Pr4 Ho4 C2 I6 Br4'
_space_group_name_H-M_alt 'C 1 2/m 1'
_space_group_IT_number 12
_cell_length_a 18.4339
_cell_length_b 3.9663
_cell_length_c 8.6028
_cell_angle_alpha 90.00
_cell_angle_beta 103.00
_cell_angle_gamma 90.00
loop_
_space_group_symop_operation_xyz
'x,y,z'
'-x,-y,-z'
'-x,y,-z'
'x,-y,z'
'x+1/2,y+1/2,z'
'-x+1/2,-y+1/2,-z'
'-x+1/2,y+1/2,-z'
'x+1/2,-y+1/2,z'
loop_
_atom_site_label
_atom_site_fract_x
_atom_site_fract_y
_atom_site_fract_z
Pr1 0.1413 0.0000 0.0673
Ho1 0.0010 0.5000 0.8117
C1 0.0000 0.0000 0.0000
I1 0.0000 0.0000 0.5000
I2 0.1650 0.5000 0.3575
Br1 0.1630 0.5000 0.8166
```



Copy entry 3 word for word.
The following is a theoretical powder X-ray diffraction pattern of Pr2Ho2CI3Br2. It was derived from a cell relaxed with PBE, using Cu Kα (λ = 1.5418 Å).
Peak positions follow from Bragg's law for the DFT cell and can differ from measured ones.

The 10 most intense peaks (10° ≤ 2θ ≤ 90°), low angle first:
| Position (°2θ) | intensity | index |
| --- | --- | --- |
| 10.58 | 35 | 0 0 1 |
| 27.73 | 23 | 3 1 -1 |
| 29.28 | 52 | 6 0 0 |
| 30.20 | 23 | 3 1 1 |
| 30.79 | 100 | 1 1 -2 |
| 33.37 | 39 | 5 1 -1 |
| 35.71 | 19 | 2 0 3 |
| 42.93 | 30 | 5 1 2 |
| 43.07 | 27 | 7 1 -2 |
| 46.01 | 20 | 0 2 0 |

Atomic structure:
```
data_Pr2Ho2CI3Br2
_chemical_formula_sum 'Pr4 Ho4 C2 I6 Br4'
_space_group_name_H-M_alt 'C 1 2/m 1'
_space_group_IT_number 12
_cell_length_a 18.7803
_cell_length_b 3.9452
_cell_length_c 8.5817
_cell_angle_alpha 90.00
_cell_angle_beta 102.94
_cell_angle_gamma 90.00
loop_
_space_group_symop_operation_xyz
'x,y,z'
'-x,-y,-z'
'-x,y,-z'
'x,-y,z'
'x+1/2,y+1/2,z'
'-x+1/2,-y+1/2,-z'
'-x+1/2,y+1/2,-z'
'x+1/2,-y+1/2,z'
loop_
_atom_site_label
_atom_site_fract_x
_atom_site_fract_y
_atom_site_fract_z
Pr1 0.1392 0.0000 0.0737
Ho1 0.9996 0.5000 0.1888
C1 0.0000 0.0000 0.0000
I1 0.0000 0.0000 0.5000
I2 0.1675 0.5000 0.8016
Br1 0.1531 0.5000 0.3401
```